# Ga2Fe2Bi2O9
Theoretical powder X-ray diffraction pattern, Cu Kα, 1.54184 Å. Input: the GGA+U geometry in Alexandria.
No peak broadening, texture or thermal motion is included.

Main lines, low angle first (2θ from 10° to 90°):
h k l, d_spacing, Rel. int.
0 0 1, 5.959, 37
1 2 1, 3.128, 100
2 1 1, 3.070, 91
0 0 2, 2.979, 26
1 1 2, 2.644, 23
1 3 0, 2.610, 22
2 0 2, 2.383, 19
1 4 1, 1.901, 25
4 1 1, 1.837, 25
3 3 2, 1.609, 41

Structure:
Lattice parameters (Å, degrees): 7.945 8.290 5.959 90.00 90.00 90.00
Element x y z (fractional)
Ga 0.150 0.165 0.000
Ga 0.350 0.665 0.000
Ga 0.650 0.335 0.000
Ga 0.850 0.835 0.000
Fe 0.000 0.500 0.245
Fe 0.000 0.500 0.755
Fe 0.500 0.000 0.245
Fe 0.500 0.000 0.755
Bi 0.171 0.833 0.500
Bi 0.329 0.333 0.500
Bi 0.671 0.667 0.500
Bi 0.829 0.167 0.500
O 0.000 0.000 0.000
O 0.128 0.295 0.258
O 0.128 0.295 0.742
O 0.129 0.592 0.000
O 0.146 0.568 0.500
O 0.354 0.068 0.500
O 0.371 0.092 0.000
O 0.372 0.795 0.258
O 0.372 0.795 0.742
O 0.500 0.500 0.000
O 0.628 0.205 0.258
O 0.628 0.205 0.742
O 0.629 0.908 0.000
O 0.646 0.932 0.500
O 0.854 0.432 0.500
O 0.871 0.408 0.000
O 0.872 0.705 0.258
O 0.872 0.705 0.742